# LiCrSi3O8
Calculated powder diffractogram, Cu Ka. Input: a structure optimized by DFT (GGA+U).
Intensities are scaled so that the largest is 100.

Cell and atoms:
abc: 7.2696 7.5168 7.7202
angles: 64.22 74.55 80.68
Space group P-1 (No. 2)
Asymmetric unit:
Li: 0.2107 0.2752 0.3961 (multiplicity 2)
Cr: 0.3113 0.7942 0.4518 (multiplicity 2)
Si: 0.1237 0.7587 0.1125 (multiplicity 2)
Si: 0.2165 0.1484 0.0646 (multiplicity 2)
Si: 0.4546 0.5817 0.2660 (multiplicity 2)
O: 0.0009 0.2479 0.0304 (multiplicity 2)
O: 0.0274 0.2300 0.6826 (multiplicity 2)
O: 0.0698 0.6894 0.4883 (multiplicity 2)
O: 0.2413 0.0735 0.2881 (multiplicity 2)
O: 0.2480 0.9587 0.0018 (multiplicity 2)
O: 0.2743 0.5664 0.1706 (multiplicity 2)
O: 0.3626 0.3190 0.9121 (multiplicity 2)
O: 0.4973 0.6543 0.6095 (multiplicity 2)

Largest 6 diffraction maxima, by angle, 5° ≤ 2θ ≤ 70°:
two_theta, Rel. int., hkl
14.19, 83, 0 1 1
17.75, 65, 1 1 0
20.15, 100, 1 0 -1
21.33, 42, -1 1 1
26.34, 56, 0 2 0
28.60, 71, 0 2 2